Calculated PXRD pattern
Compound: Mg14NbCd
Radiation: Cu Kα X-rays
Structure: a structure optimized by DFT (PBE)
Intensities are scaled so that the largest is 100.

Crystal structure
Lattice parameters (Å, degrees): 10.0377 6.3494 11.0076 90.00 90.00 90.00
Space group Amm2 (No. 38)
Inequivalent atoms, fractional coordinates:
Mg: 0.0000 0.0000 0.9997 [2 per cell]
Mg: 0.0000 0.0000 0.5000 [2 per cell]
Mg: 0.0000 0.2505 0.2501 [4 per cell]
Mg: 0.2523 0.0000 0.1662 [4 per cell]
Mg: 0.2542 0.0000 0.6620 [4 per cell]
Mg: 0.2563 0.2439 0.4189 [8 per cell]
Mg: 0.5000 0.2472 0.7503 [4 per cell]
Nb: 0.5000 0.0000 0.5010 [2 per cell]
Cd: 0.5000 0.0000 0.9992 [2 per cell]

Top 10 peaks for 2θ from 5° to 70°, sorted by position:
hkl 1 0 0, 8.81 deg, intensity 53; hkl 0 0 2, 16.10 deg, intensity 15; hkl 1 0 2, 18.38 deg, intensity 21; hkl 0 2 2, 32.55 deg, intensity 29; hkl 1 2 2, 33.79 deg, intensity 13; hkl 4 0 0, 35.78 deg, intensity 24; hkl 2 0 4, 37.28 deg, intensity 100; hkl 4 2 2, 49.15 deg, intensity 18; hkl 0 4 0, 58.08 deg, intensity 17; hkl 6 0 4, 65.28 deg, intensity 18


Calculated PXRD pattern
Compound: Mg6NbCd
Radiation: Cu Kα X-rays
Structure: a structure optimized by DFT (PBE)
Intensities are scaled so that the largest is 100.

Crystal structure
Lattice parameters (Å, degrees): 4.9641 6.2652 10.9322 90.00 90.00 90.00
Space group Amm2 (No. 38)
Inequivalent atoms, fractional coordinates:
Mg: 0.0000 0.0000 0.0000 [2 per cell]
Mg: 0.0000 0.0000 0.4932 [2 per cell]
Mg: 0.0000 0.2394 0.2538 [4 per cell]
Mg: 0.5000 0.2472 0.5851 [4 per cell]
Nb: 0.5000 0.0000 0.3354 [2 per cell]
Cd: 0.5000 0.0000 0.8332 [2 per cell]

Top 10 peaks for 2θ from 5° to 70°, sorted by position:
hkl 0 0 2, 16.22 deg, intensity 52; hkl 1 0 0, 17.87 deg, intensity 39; hkl 1 0 2, 24.22 deg, intensity 38; hkl 0 0 4, 32.77 deg, intensity 18; hkl 0 2 2, 32.96 deg, intensity 36; hkl 2 0 0, 36.19 deg, intensity 36; hkl 1 0 4, 37.57 deg, intensity 51; hkl 1 2 2, 37.73 deg, intensity 100; hkl 2 2 2, 49.75 deg, intensity 22; hkl 3 2 2, 66.11 deg, intensity 18


Calculated PXRD pattern
Compound: Mg14NbCd
Radiation: Cu Kα X-rays
Structure: a structure optimized by DFT (PBE)
Intensities are scaled so that the largest is 100.

Crystal structure
Lattice parameters (Å, degrees): 6.3676 6.3676 10.0124 90.00 90.00 120.00
Space group P-6m2 (No. 187)
Inequivalent atoms, fractional coordinates:
Mg: 0.0000 0.0000 0.2476 [2 per cell]
Mg: 0.0113 0.5056 0.2457 [6 per cell]
Mg: 0.3324 0.1662 0.5000 [3 per cell]
Mg: 0.3367 0.1684 0.0000 [3 per cell]
Nb: 0.3333 0.6667 0.0000 [1 per cell]
Cd: 0.3333 0.6667 0.5000 [1 per cell]

Top 10 peaks for 2θ from 5° to 70°, sorted by position:
hkl 1 0 0, 16.07 deg, intensity 44; hkl 1 0 2, 24.01 deg, intensity 29; hkl 2 0 0, 32.47 deg, intensity 29; hkl 1 1 2, 33.35 deg, intensity 14; hkl 0 0 4, 35.88 deg, intensity 24; hkl 2 0 2, 37.23 deg, intensity 100; hkl 2 1 2, 47.24 deg, intensity 12; hkl 2 0 4, 49.16 deg, intensity 18; hkl 2 2 0, 57.93 deg, intensity 17; hkl 2 0 6, 65.37 deg, intensity 18